The following is a computed powder diffraction line list of Li2MnFeP2O8. It was derived from a cell relaxed with PBE+U, using CuKα.
Neutral-atom scattering factors, no anomalous dispersion.

Cell and atoms:
abc: 6.1253 4.7730 10.5239
angles: 90.00 90.00 90.00
Space group Pmc2_1 (No. 26)
Inequivalent atoms, fractional coordinates:
Li: 0.2483 0.2462 0.0000 x4
Mn: 0.5000 0.2741 0.7183 x2
Fe: 0.0000 0.2238 0.2806 x2
P: 0.0000 0.3407 0.5924 x2
P: 0.5000 0.1691 0.4060 x2
O: 0.0000 0.0185 0.5970 x2
O: 0.0000 0.4602 0.4547 x2
O: 0.2014 0.4760 0.6618 x4
O: 0.2977 0.0385 0.3354 x4
O: 0.5000 0.0423 0.5420 x2
O: 0.5000 0.4909 0.4042 x2

Most intense lines, 2θ = 15–90°, sorted by position:
16.8 deg, rel. 28, (0 0 2); 20.4 deg, rel. 58, (0 1 1); 25.1 deg, rel. 88, (1 1 1); 29.2 deg, rel. 76, (2 0 0); 31.7 deg, rel. 27, (0 1 3); 35.0 deg, rel. 100, (1 1 3); 35.9 deg, rel. 30, (2 1 1); 51.6 deg, rel. 35, (2 2 2); 55.5 deg, rel. 24, (3 1 3); 60.8 deg, rel. 27, (2 0 6)